Entry 1:
# Cs2NdScO4
Calculated powder diffractogram, λ = 1.5418 Å (Cu Kα). Input: a DFT-relaxed cell (PBE, Alexandria).
Intensities are scaled so that the largest is 100.

Largest 6 diffraction maxima, by intensity, 10 to 80 degrees two-theta:
34.05 deg, intensity 100, hkl 2 2 0
28.94 deg, intensity 96, hkl 0 2 2
29.92 deg, intensity 85, hkl 2 0 2
49.06 deg, intensity 65, hkl 2 2 4
34.25 deg, intensity 49, hkl 0 0 4
57.27 deg, intensity 32, hkl 2 4 2

Structure:
```
data_Cs2NdScO4
_symmetry_space_group_name_H-M 'I m m a'
_symmetry_Int_Tables_number 74
_symmetry_space_group_name_Hall '-I 2b 2'
_cell_length_a 7.2713
_cell_length_b 7.6375
_cell_length_c 10.4738
_cell_angle_alpha 90.00
_cell_angle_beta 90.00
_cell_angle_gamma 90.00
loop_
_atom_site_label
_atom_site_fract_x
_atom_site_fract_y
_atom_site_fract_z
_atom_site_occupancy
Cs1 0.0000 0.0000 0.0000 1
Cs2 0.2500 0.2500 0.2500 1
Nd1 0.0000 0.0000 0.5000 1
Sc1 0.2500 0.2500 0.7500 1
O1 0.0000 0.0631 0.7313 1
O2 0.2063 0.2500 0.5383 1
```

Entry 2:
# ErHg3I9
Calculated powder diffractogram, λ = 1.5418 Å (Cu Kα). Input: a DFT-relaxed cell (PBE, Alexandria).
Intensities are scaled so that the largest is 100.

Largest 6 diffraction maxima, by intensity, 10 to 80 degrees two-theta:
14.58 deg, intensity 100, hkl 1 1 1
24.87 deg, intensity 79, hkl 2 2 -3
16.19 deg, intensity 62, hkl 3 1 -2
23.33 deg, intensity 52, hkl 5 1 -2
37.25 deg, intensity 44, hkl 1 3 3
27.93 deg, intensity 39, hkl 4 2 0

Structure:
```
data_ErHg3I9
_symmetry_space_group_name_H-M 'C 1 c 1'
_symmetry_Int_Tables_number 9
_cell_length_a 20.5102
_cell_length_b 10.6274
_cell_length_c 14.7927
_cell_angle_alpha 90.00
_cell_angle_beta 128.81
_cell_angle_gamma 90.00
loop_
_symmetry_equiv_pos_as_xyz
'x,y,z'
'x,-y,z+1/2'
'x+1/2,y+1/2,z'
'x+1/2,-y+1/2,z+1/2'
loop_
_atom_site_label
_atom_site_fract_x
_atom_site_fract_y
_atom_site_fract_z
_atom_site_occupancy
Er1 0.0000 0.2312 0.0000 1
Hg1 0.1363 0.4313 0.8362 1
Hg2 0.2669 0.0663 0.7769 1
Hg3 0.3746 0.3857 0.6847 1
I1 0.9997 0.3011 0.7983 1
I2 0.0102 0.0751 0.1799 1
I3 0.1030 0.4597 0.1271 1
I4 0.1409 0.0473 0.0613 1
I5 0.2017 0.3529 0.4802 1
I6 0.2620 0.2400 0.9199 1
I7 0.3560 0.4255 0.3048 1
I8 0.3566 0.1303 0.4602 1
I9 0.4087 0.1480 0.7959 1
```

Entry 3:
# AcPm3Ir3
Calculated powder diffractogram, λ = 1.5418 Å (Cu Kα). Input: a DFT-relaxed cell (PBE, Alexandria).
Intensities are scaled so that the largest is 100.

Largest 6 diffraction maxima, by intensity, 10 to 80 degrees two-theta:
37.71 deg, intensity 100, hkl 2 -1 6
35.04 deg, intensity 97, hkl 3 0 0
31.25 deg, intensity 34, hkl 3 -1 1
32.59 deg, intensity 32, hkl 3 -2 2
25.51 deg, intensity 27, hkl 2 -1 3
52.42 deg, intensity 25, hkl 2 2 6

Structure:
```
data_AcPm3Ir3
_symmetry_space_group_name_H-M 'R -3'
_symmetry_Int_Tables_number 148
_symmetry_space_group_name_Hall '-R 3'
_cell_length_a 8.8719
_cell_length_b 8.8719
_cell_length_c 16.9758
_cell_angle_alpha 90.00
_cell_angle_beta 90.00
_cell_angle_gamma 120.00
loop_
_atom_site_label
_atom_site_fract_x
_atom_site_fract_y
_atom_site_fract_z
_atom_site_occupancy
Ac1 0.0000 0.0000 0.1710 1
Pm1 0.0140 0.7377 0.6005 1
Ir1 0.0066 0.6330 0.4344 1
```

Entry 4:
# MnAgGe2Se6
Calculated powder diffractogram, λ = 1.5418 Å (Cu Kα). Input: a DFT-relaxed cell (PBE, Alexandria).
Intensities are scaled so that the largest is 100.

Largest 6 diffraction maxima, by intensity, 10 to 80 degrees two-theta:
32.49 deg, intensity 100, hkl 3 3 -1
47.44 deg, intensity 84, hkl 5 3 1
46.81 deg, intensity 67, hkl 1 3 -3
33.20 deg, intensity 61, hkl 2 0 2
22.82 deg, intensity 57, hkl 3 1 0
27.85 deg, intensity 50, hkl 1 3 1

Structure:
```
data_MnAgGe2Se6
_symmetry_space_group_name_H-M 'C 1 2/c 1'
_symmetry_Int_Tables_number 15
_cell_length_a 12.5820
_cell_length_b 11.9385
_cell_length_c 6.6698
_cell_angle_alpha 90.00
_cell_angle_beta 100.53
_cell_angle_gamma 90.00
loop_
_symmetry_equiv_pos_as_xyz
'x,y,z'
'-x,-y,-z'
'-x,y,-z+1/2'
'x,-y,z+1/2'
'x+1/2,y+1/2,z'
'-x+1/2,-y+1/2,-z'
'-x+1/2,y+1/2,-z+1/2'
'x+1/2,-y+1/2,z+1/2'
loop_
_atom_site_label
_atom_site_fract_x
_atom_site_fract_y
_atom_site_fract_z
_atom_site_occupancy
Mn1 0.0000 0.2312 0.2500 1
Ag1 0.0000 0.4031 0.7500 1
Ge1 0.1917 0.0910 0.7734 1
Se1 0.1114 0.4049 0.1526 1
Se2 0.1260 0.2559 0.5837 1
Se3 0.1313 0.0882 0.1081 1
```